Starting from DFT lattice parameters and positions (PBE), the powder diffraction line list of Zr2P3S was simulated for Cu Kα (weighted mean of Kα1 and Kα2).
Lines closer than 0.1° are merged.

Most intense lines, 2θ from 10° to 90°, in order of rising 2θ:
2θ (°)  I (rel.)  hkl
22.56  26.8  0 0 2
27.21  100.0  1 0 1
34.12  16.8  0 0 3
35.23  45.1  1 1 0
37.08  34.1  1 1 1
42.24  86.4  1 1 2
42.59  75.1  1 0 3
50.67  41.0  2 0 0
58.46  23.3  2 1 1
68.28  35.0  2 1 3
86.31  20.8  2 1 5
89.55  19.8  3 1 2

Structural model:
```
Zr2P3S
1.0
3.6031 0.0000 0.0000
0.0000 3.6031 0.0000
0.0000 0.0000 7.8826
Zr P S
2 3 1
Cartesian
0.0000 0.0000 0.0000 Zr
1.8015 1.8015 3.6984 Zr
0.0000 1.8015 5.7843 P
1.8015 0.0000 5.7843 P
1.8015 1.8015 0.8976 P
0.0000 0.0000 2.7980 S
```